Structure and calculated powder XRD pattern of RbPd4Cl7 (a structure optimized by DFT (GGA-PBE); Cu Kα, 1.54184 Å).
Neutral-atom scattering factors, no anomalous dispersion.

Structural model:
abc: 17.745 7.425 4.947
angles: 90.00 90.00 90.00
Fractional positions:
Rb (0.000, 0.039, 0.000)
Rb (0.500, 0.961, 0.500)
Pd (0.111, 0.585, 0.226)
Pd (0.229, 0.769, 0.543)
Pd (0.271, 0.231, 0.043)
Pd (0.389, 0.415, 0.726)
Pd (0.611, 0.415, 0.726)
Pd (0.729, 0.231, 0.043)
Pd (0.771, 0.769, 0.543)
Pd (0.889, 0.585, 0.226)
Cl (0.000, 0.452, 0.398)
Cl (0.099, 0.847, 0.500)
Cl (0.143, 0.315, 0.011)
Cl (0.219, 0.738, 0.037)
Cl (0.281, 0.262, 0.537)
Cl (0.357, 0.685, 0.511)
Cl (0.401, 0.153, 0.000)
Cl (0.500, 0.548, 0.898)
Cl (0.599, 0.153, 0.000)
Cl (0.643, 0.685, 0.511)
Cl (0.719, 0.262, 0.537)
Cl (0.781, 0.738, 0.037)
Cl (0.857, 0.315, 0.011)
Cl (0.901, 0.847, 0.500)

Top 10 peaks for 5 to 70 degrees two-theta, low angle first:
| d_spacing | I (rel.) |
| --- | --- |
| 8.872 | 35 |
| 6.849 | 33 |
| 4.765 | 53 |
| 4.626 | 37 |
| 4.117 | 71 |
| 4.010 | 53 |
| 3.807 | 51 |
| 3.425 | 100 |
| 3.379 | 45 |
| 2.030 | 34 |

---

Structure and calculated powder XRD pattern of Rb2RePdCl6 (a structure optimized by DFT (GGA-PBE); Cu Kα, 1.54184 Å).
Neutral-atom scattering factors, no anomalous dispersion.

Structural model:
abc: 7.132 7.132 7.132
angles: 113.98 113.98 100.78
Fractional positions:
Rb (0.250, 0.750, 0.500)
Rb (0.750, 0.250, 0.500)
Re (0.000, 0.000, 0.000)
Pd (0.500, 0.500, 0.000)
Cl (0.220, 0.220, 0.440)
Cl (0.220, 0.780, 0.000)
Cl (0.253, 0.253, 0.000)
Cl (0.747, 0.747, 0.000)
Cl (0.780, 0.220, 0.000)
Cl (0.780, 0.780, 0.560)

Top 10 peaks for 5 to 70 degrees two-theta, low angle first:
| d_spacing | I (rel.) |
| --- | --- |
| 5.908 | 22 |
| 5.495 | 38 |
| 3.885 | 66 |
| 3.503 | 100 |
| 2.747 | 74 |
| 2.273 | 22 |
| 2.162 | 49 |
| 1.962 | 21 |
| 1.943 | 24 |
| 1.752 | 36 |

---

Structure and calculated powder XRD pattern of RbPdRuCl6 (a structure optimized by DFT (GGA-PBE); Cu Kα, 1.54184 Å).
Neutral-atom scattering factors, no anomalous dispersion.

Structural model:
abc: 6.437 6.437 7.368
angles: 90.00 90.00 120.00
Fractional positions:
Rb (0.000, 0.000, 0.000)
Pd (0.667, 0.333, 0.500)
Ru (0.333, 0.667, 0.500)
Cl (0.019, 0.372, 0.681)
Cl (0.019, 0.647, 0.319)
Cl (0.353, 0.372, 0.319)
Cl (0.353, 0.981, 0.681)
Cl (0.628, 0.647, 0.681)
Cl (0.628, 0.981, 0.319)

Top 10 peaks for 5 to 70 degrees two-theta, low angle first:
| d_spacing | I (rel.) |
| --- | --- |
| 7.368 | 66 |
| 4.446 | 100 |
| 3.218 | 20 |
| 2.949 | 29 |
| 2.607 | 18 |
| 2.424 | 74 |
| 2.026 | 23 |
| 1.858 | 25 |
| 1.599 | 27 |
| 1.475 | 15 |

---

Which formula does entry 3 have?
RbPdRuCl6